The following is a computed X-ray diffraction stick pattern of Al15Ni3Ge4. It was derived from DFT lattice parameters and positions (PBE), using a wavelength of 1.5418 Å.
Peak positions follow from Bragg's law for the DFT cell and can differ from measured ones.

Most intense lines, 15 to 90 degrees two-theta, sorted by position:
2θ = 24.6°, rel. 68
2θ = 27.0°, rel. 65
2θ = 29.2°, rel. 38
2θ = 33.3°, rel. 24
2θ = 44.9°, rel. 100
2θ = 46.3°, rel. 60
2θ = 49.1°, rel. 25
2θ = 59.4°, rel. 23

Cell and atoms:
```
44
Lattice="-5.7157 5.7157 5.7157 5.7157 -5.7157 5.7157 5.7157 5.7157 -5.7157" Properties=species:S:1:pos:R:3 pbc="T T T"
Al 2.1919 0.0000 0.0000
Al 4.3788 1.5834 -1.5834
Al 7.0577 1.2400 -1.2400
Al 4.3788 -1.5834 1.5834
Al 7.0577 -1.2400 1.2400
Al 9.2394 0.0000 0.0000
Al 0.0000 2.1919 0.0000
Al 0.0000 0.0000 2.1919
Al 4.3737 1.2400 1.2400
Al 1.5834 4.3788 -1.5834
Al 1.5834 -1.5834 4.3788
Al 4.4757 4.4757 -1.3420
Al 4.4757 -1.3420 4.4757
Al 7.0526 1.5834 1.5834
Al 4.1323 4.1323 1.3369
Al 4.1323 1.3369 4.1323
Al 1.2400 4.3737 1.2400
Al 1.2400 1.2400 4.3737
Al 1.2400 7.0577 -1.2400
Al 1.2400 -1.2400 7.0577
Al -1.5834 4.3788 1.5834
Al -1.5834 1.5834 4.3788
Al 1.3369 4.1323 4.1323
Al -1.2400 7.0577 1.2400
Al -1.2400 1.2400 7.0577
Al 1.5834 7.0526 1.5834
Al 1.5834 1.5834 7.0526
Al -1.3420 4.4757 4.4757
Al 0.0000 9.2394 0.0000
Al 0.0000 0.0000 9.2394
Ni 5.7157 2.8578 0.0000
Ni 5.7157 0.0000 2.8578
Ni 2.8578 5.7157 0.0000
Ni 2.8578 0.0000 5.7157
Ni 0.0000 5.7157 2.8578
Ni 0.0000 2.8578 5.7157
Ge 1.8705 1.8705 -1.8705
Ge 3.7916 3.7916 -3.7916
Ge 1.8705 -1.8705 1.8705
Ge 3.7916 -3.7916 3.7916
Ge -1.8705 1.8705 1.8705
Ge 1.9241 1.9241 1.9241
Ge -3.7916 3.7916 3.7916
Ge 3.8452 3.8452 3.8452
```